For Ba3DyEr3Se8, a GGA-PBE-relaxed structure gives the computed XRD peak list in this record (λ = 1.5418 Å (Cu Kα)).

```
data_Ba3DyEr3Se8
_chemical_formula_sum 'Ba9 Dy3 Er9 Se24'
_symmetry_space_group_name_H-M 'R -3 m'
_symmetry_Int_Tables_number 166
_symmetry_space_group_name_Hall '-R 3 2"'
_cell_length_a 8.3764
_cell_length_b 8.3764
_cell_length_c 22.5668
_cell_angle_alpha 90.00
_cell_angle_beta 90.00
_cell_angle_gamma 120.00
loop_
_atom_site_label
_atom_site_fract_x
_atom_site_fract_y
_atom_site_fract_z
Ba1 0.0000 0.5000 0.0000
Dy1 0.0000 0.0000 0.5000
Er1 0.0000 0.5000 0.5000
Se1 0.0000 0.0000 0.2367
Se2 0.0043 0.5022 0.7634
```

Most intense lines, 2θ from 10° to 90°, by angle:
2theta  I (rel.)
11.76  17.7
29.27  100.0
40.51  36.3
43.20  35.8
53.04  18.7
60.71  11.0
66.87  13.3
70.72  15.8

For Ba2TlCo, a GGA-PBE-relaxed structure gives the computed XRD peak list in this record (λ = 1.5418 Å (Cu Kα)).

```
data_Ba2TlCo
_chemical_formula_sum 'Ba2 Tl1 Co1'
_symmetry_space_group_name_H-M 'P 4 m m'
_symmetry_Int_Tables_number 99
_cell_length_a 3.857
_cell_length_b 3.857
_cell_length_c 9.498
_cell_angle_alpha 90.00
_cell_angle_beta 90.00
_cell_angle_gamma 90.00
loop_
_symmetry_equiv_pos_as_xyz
'x,y,z'
'-y,x,z'
'-x,-y,z'
'y,-x,z'
'-x,y,z'
'y,x,z'
'x,-y,z'
'-y,-x,z'
loop_
_atom_site_label
_atom_site_fract_x
_atom_site_fract_y
_atom_site_fract_z
Ba1 0.000 0.000 0.000
Ba2 0.500 0.500 0.418
Tl1 0.500 0.500 0.764
Co1 0.000 0.000 0.658
```

Most intense lines, 2θ from 10° to 90°, by angle:
2theta  I (rel.)
24.91  65.2
28.19  31.9
29.84  90.4
32.84  100.0
36.72  92.6
43.81  38.5
47.12  36.2
61.19  41.7

For K2CeHfSe4, a GGA-PBE-relaxed structure gives the computed XRD peak list in this record (λ = 1.5418 Å (Cu Kα)).

```
data_K2CeHfSe4
_chemical_formula_sum 'K2 Ce1 Hf1 Se4'
_symmetry_space_group_name_H-M 'P 1 2/m 1'
_symmetry_Int_Tables_number 10
_cell_length_a 7.158
_cell_length_b 4.103
_cell_length_c 8.093
_cell_angle_alpha 90.00
_cell_angle_beta 106.79
_cell_angle_gamma 90.00
loop_
_symmetry_equiv_pos_as_xyz
'x,y,z'
'-x,-y,-z'
'-x,y,-z'
'x,-y,z'
loop_
_atom_site_label
_atom_site_fract_x
_atom_site_fract_y
_atom_site_fract_z
K1 0.000 0.000 0.000
K2 0.500 0.500 0.000
Ce1 0.000 0.500 0.500
Hf1 0.500 0.000 0.500
Se1 0.259 0.000 0.710
Se2 0.287 0.500 0.300
```

Most intense lines, 2θ from 10° to 90°, by angle:
2theta  I (rel.)
11.42  63.3
29.39  100.0
36.99  20.7
39.84  11.6
40.12  23.5
43.89  22.0
44.15  11.6
53.93  11.6

For La4Tb2DyEr, a GGA-PBE-relaxed structure gives the computed XRD peak list in this record (λ = 1.5418 Å (Cu Kα)).

```
data_La4Tb2DyEr
_chemical_formula_sum 'La4 Tb2 Dy1 Er1'
_symmetry_space_group_name_H-M 'P m m m'
_symmetry_Int_Tables_number 47
_cell_length_a 5.219
_cell_length_b 5.254
_cell_length_c 9.969
_cell_angle_alpha 90.00
_cell_angle_beta 90.00
_cell_angle_gamma 90.00
loop_
_symmetry_equiv_pos_as_xyz
'x,y,z'
'-x,-y,-z'
'-x,-y,z'
'x,y,-z'
'x,-y,-z'
'-x,y,z'
'-x,y,-z'
'x,-y,z'
loop_
_atom_site_label
_atom_site_fract_x
_atom_site_fract_y
_atom_site_fract_z
La1 0.000 0.000 0.249
La2 0.500 0.500 0.249
Tb1 0.000 0.500 0.000
Tb2 0.500 0.000 0.500
Dy1 0.000 0.500 0.500
Er1 0.500 0.000 0.000
```

Most intense lines, 2θ from 10° to 90°, by angle:
2theta  I (rel.)
30.06  100.0
34.13  17.9
34.36  17.6
36.04  15.4
49.21  12.8
58.60  15.1
58.91  14.9
61.14  13.3

For LiAc2TmIn6, a GGA-PBE-relaxed structure gives the computed XRD peak list in this record (λ = 1.5418 Å (Cu Kα)).

```
data_LiAc2TmIn6
_chemical_formula_sum 'Li2 Ac4 Tm2 In12'
_symmetry_space_group_name_H-M 'C 1 2/m 1'
_symmetry_Int_Tables_number 12
_cell_length_a 10.615
_cell_length_b 10.615
_cell_length_c 7.492
_cell_angle_alpha 90.00
_cell_angle_beta 134.88
_cell_angle_gamma 90.00
loop_
_symmetry_equiv_pos_as_xyz
'x,y,z'
'-x,-y,-z'
'-x,y,-z'
'x,-y,z'
'x+1/2,y+1/2,z'
'-x+1/2,-y+1/2,-z'
'-x+1/2,y+1/2,-z'
'x+1/2,-y+1/2,z'
loop_
_atom_site_label
_atom_site_fract_x
_atom_site_fract_y
_atom_site_fract_z
Li1 0.000 0.000 0.000
Ac1 0.000 0.250 0.500
Tm1 0.000 0.500 0.000
In1 0.000 0.229 0.000
In2 0.228 0.000 0.999
In3 0.231 0.000 0.458
```

Most intense lines, 2θ from 10° to 90°, by angle:
2theta  I (rel.)
23.71  42.9
29.14  100.0
33.77  93.9
36.89  14.5
48.51  42.9
57.54  19.1
57.65  18.8
81.01  16.7

For BaNd5Te8, a GGA-PBE-relaxed structure gives the computed XRD peak list in this record (λ = 1.5418 Å (Cu Kα)).

```
data_BaNd5Te8
_chemical_formula_sum 'Ba4 Nd20 Te32'
_symmetry_space_group_name_H-M 'F -4 3 m'
_symmetry_Int_Tables_number 216
_symmetry_space_group_name_Hall 'F -4 2 3'
_cell_length_a 13.409
_cell_length_b 13.409
_cell_length_c 13.409
_cell_angle_alpha 90.00
_cell_angle_beta 90.00
_cell_angle_gamma 90.00
loop_
_atom_site_label
_atom_site_fract_x
_atom_site_fract_y
_atom_site_fract_z
Ba1 0.000 0.000 0.000
Nd1 0.126 0.126 0.374
Nd2 0.250 0.250 0.750
Te1 0.118 0.118 0.618
Te2 0.140 0.140 0.140
```

Most intense lines, 2θ from 10° to 90°, by angle:
2theta  I (rel.)
18.72  17.3
21.99  53.1
26.59  65.0
34.76  43.7
37.96  100.0
46.95  16.0
61.89  18.0
68.57  29.1

For Nd5Ga2Se2, a GGA-PBE-relaxed structure gives the computed XRD peak list in this record (λ = 1.5418 Å (Cu Kα)).

```
data_Nd5Ga2Se2
_chemical_formula_sum 'Nd20 Ga8 Se8'
_symmetry_space_group_name_H-M 'C m c e'
_symmetry_Int_Tables_number 64
_symmetry_space_group_name_Hall '-C 2ac 2'
_cell_length_a 15.309
_cell_length_b 7.950
_cell_length_c 7.949
_cell_angle_alpha 90.00
_cell_angle_beta 90.00
_cell_angle_gamma 90.00
loop_
_atom_site_label
_atom_site_fract_x
_atom_site_fract_y
_atom_site_fract_z
Nd1 0.000 0.000 0.000
Nd2 0.141 0.172 0.337
Ga1 0.000 0.121 0.617
Se1 0.197 0.000 0.000
```

Most intense lines, 2θ from 10° to 90°, by angle:
2theta  I (rel.)
25.05  32.2
30.65  99.3
31.84  37.1
32.48  74.4
33.32  22.2
34.43  66.2
35.17  31.8
36.21  100.0

For Cs2KMgBr5, a GGA-PBE-relaxed structure gives the computed XRD peak list in this record (λ = 1.5418 Å (Cu Kα)).

```
data_Cs2KMgBr5
_chemical_formula_sum 'Cs4 K2 Mg2 Br10'
_symmetry_space_group_name_H-M 'I m m m'
_symmetry_Int_Tables_number 71
_symmetry_space_group_name_Hall '-I 2 2'
_cell_length_a 5.336
_cell_length_b 7.883
_cell_length_c 17.030
_cell_angle_alpha 90.00
_cell_angle_beta 90.00
_cell_angle_gamma 90.00
loop_
_atom_site_label
_atom_site_fract_x
_atom_site_fract_y
_atom_site_fract_z
Cs1 0.000 0.000 0.208
K1 0.000 0.500 0.000
Mg1 0.000 0.500 0.500
Br1 0.000 0.000 0.000
Br2 0.000 0.253 0.387
```

Most intense lines, 2θ from 10° to 90°, by angle:
2theta  I (rel.)
20.10  38.6
22.67  35.6
28.62  100.0
30.92  63.3
31.15  76.6
33.59  39.7
46.30  39.8
56.65  49.4

For Ta4VH10, a GGA-PBE-relaxed structure gives the computed XRD peak list in this record (λ = 1.5418 Å (Cu Kα)).

```
data_Ta4VH10
_chemical_formula_sum 'Ta8 V2 H20'
_symmetry_space_group_name_H-M 'I 4/m'
_symmetry_Int_Tables_number 87
_symmetry_space_group_name_Hall '-I 4'
_cell_length_a 7.069
_cell_length_b 7.069
_cell_length_c 4.468
_cell_angle_alpha 90.00
_cell_angle_beta 90.00
_cell_angle_gamma 90.00
loop_
_atom_site_label
_atom_site_fract_x
_atom_site_fract_y
_atom_site_fract_z
Ta1 0.102 0.298 0.000
V1 0.000 0.000 0.500
H1 0.000 0.500 0.250
H2 0.095 0.807 0.258
```

Most intense lines, 2θ from 10° to 90°, by angle:
2theta  I (rel.)
17.74  5.9
23.55  7.1
34.76  100.0
40.35  47.8
58.39  34.5
69.78  39.2
73.37  11.2
87.24  5.7